For PuSi7Ir3, the PBE geometry in Alexandria gives the theoretical X-ray powder pattern in this record (Cu Kα).
Intensities are scaled so that the largest is 100.

a = 8.0415 Å, b = 8.0415 Å, c = 8.0415 Å
α = 56.92°, β = 56.92°, γ = 56.92°
Sites, in units of the cell vectors:
Pu: 0.0000 0.0000 0.0000
Pu: 0.5000 0.5000 0.5000
Si: 0.0667 0.8506 0.6727
Si: 0.1494 0.3273 0.9333
Si: 0.1727 0.3506 0.5667
Si: 0.2500 0.2500 0.2500
Si: 0.3273 0.9333 0.1494
Si: 0.3506 0.5667 0.1727
Si: 0.4333 0.8273 0.6494
Si: 0.5667 0.1727 0.3506
Si: 0.6494 0.4333 0.8273
Si: 0.6727 0.0667 0.8506
Si: 0.7500 0.7500 0.7500
Si: 0.8273 0.6494 0.4333
Si: 0.8506 0.6727 0.0667
Si: 0.9333 0.1494 0.3273
Ir: 0.0671 0.7500 0.4329
Ir: 0.2500 0.5671 0.9329
Ir: 0.4329 0.0671 0.7500
Ir: 0.5671 0.9329 0.2500
Ir: 0.7500 0.4329 0.0671
Ir: 0.9329 0.2500 0.5671

Peak list (8 most intense, 5° ≤ 2θ ≤ 70°, by angle)
2θ/deg  I/Imax
16.0  20
26.8  100
35.6  56
40.2  17
40.8  50
47.0  34
49.5  28
66.0  17